This entry pairs a crystal structure of Ba3NaOs2O9 with its simulated powder diffraction line list. Radiation: CuKα. Structure: a structure optimized by DFT (GGA-PBE).
Lines closer than 0.1° are merged.

Crystal structure
```
data_Ba3NaOs2O9
_symmetry_space_group_name_H-M 'P 63/m m c'
_symmetry_Int_Tables_number 194
_symmetry_space_group_name_Hall '-P 6c 2c'
_cell_length_a 5.9839
_cell_length_b 5.9839
_cell_length_c 14.4835
_cell_angle_alpha 90.00
_cell_angle_beta 90.00
_cell_angle_gamma 120.00
loop_
_atom_site_label
_atom_site_type_symbol
_atom_site_fract_x
_atom_site_fract_y
_atom_site_fract_z
Ba1 Ba 0.0000 0.0000 0.2500
Ba2 Ba 0.3333 0.6667 0.0884
Na1 Na 0.0000 0.0000 0.0000
Os1 Os 0.3333 0.6667 0.6623
O1 O 0.0172 0.5086 0.7500
O2 O 0.1802 0.3604 0.5911
```

Main lines, most intense first (10° ≤ 2θ ≤ 80°):
index  d_spacing  Rel. int.
1 1 0  2.992  100
1 0 1  4.879  38
1 0 4  2.968  37
1 0 5  2.529  31
2 0 4  2.107  24
3 0 0  1.727  20
1 0 0  5.182  20
2 2 0  1.496  18
2 1 5  1.623  18
2 0 5  1.931  17